MgV2Pt2: theoretical powder diffraction line list (λ = 1.5418 Å (Cu Kα)), based on a DFT-relaxed cell (GGA-PBE, Alexandria).
Kinematic intensities with the Lorentz-polarization factor, no thermal factor.

Principal peaks in the range 10° ≤ 2θ ≤ 80°, by intensity:
2θ 42.13, I 1000
2θ 16.55, I 649
2θ 26.30, I 562
2θ 37.54, I 430
2θ 48.03, I 225
2θ 54.84, I 218
2θ 75.84, I 213
2θ 43.04, I 212

Structure:
Cell: 7.577 7.577 2.770 Å, 90.00 90.00 90.00°
Positions (direct):
Mg: 0.000 0.000 0.000
Mg: 0.500 0.500 0.000
V: 0.165 0.335 0.500
V: 0.335 0.835 0.500
V: 0.665 0.165 0.500
V: 0.835 0.665 0.500
Pt: 0.131 0.631 0.000
Pt: 0.369 0.131 0.000
Pt: 0.631 0.869 0.000
Pt: 0.869 0.369 0.000


Cs2Na5Tl12: theoretical powder diffraction line list (λ = 1.5418 Å (Cu Kα)), based on a DFT-relaxed cell (GGA-PBE, Alexandria).
Kinematic intensities with the Lorentz-polarization factor, no thermal factor.

Principal peaks in the range 10° ≤ 2θ ≤ 80°, by intensity:
2θ 31.49, I 1000
2θ 35.25, I 628
2θ 28.03, I 554
2θ 15.45, I 465
2θ 32.39, I 397
2θ 31.19, I 245
2θ 36.58, I 244
2θ 20.84, I 240

Structure:
Cell: 8.628 8.628 8.628 Å, 83.33 83.33 83.33°
Positions (direct):
Cs: 0.153 0.153 0.153
Cs: 0.847 0.847 0.847
Na: 0.000 0.500 0.500
Na: 0.402 0.402 0.402
Na: 0.500 0.000 0.500
Na: 0.500 0.500 0.000
Na: 0.598 0.598 0.598
Tl: 0.149 0.149 0.652
Tl: 0.149 0.652 0.149
Tl: 0.210 0.500 0.790
Tl: 0.210 0.790 0.500
Tl: 0.348 0.851 0.851
Tl: 0.500 0.210 0.790
Tl: 0.500 0.790 0.210
Tl: 0.652 0.149 0.149
Tl: 0.790 0.210 0.500
Tl: 0.790 0.500 0.210
Tl: 0.851 0.348 0.851
Tl: 0.851 0.851 0.348


AcMgO2F: theoretical powder diffraction line list (λ = 1.5418 Å (Cu Kα)), based on a DFT-relaxed cell (GGA-PBE, Alexandria).
Kinematic intensities with the Lorentz-polarization factor, no thermal factor.

Principal peaks in the range 10° ≤ 2θ ≤ 80°, by intensity:
2θ 31.12, I 1000
2θ 21.54, I 713
2θ 38.17, I 641
2θ 30.65, I 548
2θ 54.78, I 428
2θ 22.20, I 416
2θ 43.89, I 339
2θ 50.68, I 228

Structure:
Cell: 4.126 4.126 4.005 Å, 90.00 90.00 90.00°
Positions (direct):
Ac: 0.000 0.000 0.000
Mg: 0.500 0.500 0.408
O: 0.000 0.500 0.365
O: 0.500 0.000 0.365
F: 0.500 0.500 0.894


Hg2PtAu: theoretical powder diffraction line list (λ = 1.5418 Å (Cu Kα)), based on a DFT-relaxed cell (GGA-PBE, Alexandria).
Kinematic intensities with the Lorentz-polarization factor, no thermal factor.

Principal peaks in the range 10° ≤ 2θ ≤ 80°, by intensity:
2θ 32.22, I 1000
2θ 48.09, I 668
2θ 41.41, I 511
2θ 36.09, I 371
2θ 56.08, I 213
2θ 73.50, I 194
2θ 73.87, I 191
2θ 76.12, I 177

Structure:
Cell: 10.366 10.366 10.366 Å, 157.24 157.24 32.41°
Positions (direct):
Hg: 0.119 0.625 0.994
Hg: 0.375 0.369 0.494
Hg: 0.631 0.125 0.006
Hg: 0.875 0.881 0.506
Pt: 0.000 0.000 0.000
Pt: 0.750 0.250 0.500
Au: 0.250 0.750 0.500
Au: 0.500 0.500 0.000